1.
Simulated powder X-ray diffraction pattern
Compound: In4HgBi3
Radiation: Cu Ka
Structure: a GGA-PBE-relaxed structure
Intensities are scaled so that the largest is 100.

Principal peaks in the range 10 to 90 degrees two-theta, in order of rising 2θ:
2θ (°)  Rel. int.
30.78  40
31.57  36
32.32  100
38.27  19
39.60  22
50.32  9
50.42  11
53.53  8
56.68  13
58.34  13

Crystal structure
a b c (Å): 8.873 11.335 6.370
angles (deg): 90.00 132.05 90.00
Fractional coordinates of all 16 atoms:
In1 0.111 0.000 0.363
In2 0.245 0.263 0.264
In3 0.255 0.763 0.736
In4 0.389 0.500 0.637
In5 0.611 0.500 0.363
In6 0.745 0.763 0.264
In7 0.755 0.263 0.736
In8 0.889 0.000 0.637
Hg1 0.000 0.237 0.500
Hg2 0.500 0.737 0.500
Bi1 0.000 0.739 0.000
Bi2 0.118 0.504 0.834
Bi3 0.382 0.004 0.166
Bi4 0.500 0.239 0.000
Bi5 0.618 0.004 0.834
Bi6 0.882 0.504 0.166

2.
Simulated powder X-ray diffraction pattern
Compound: Dy2Er3Sc4
Radiation: Cu Ka
Structure: a GGA-PBE-relaxed structure
Intensities are scaled so that the largest is 100.

Principal peaks in the range 10 to 90 degrees two-theta, in order of rising 2θ:
2θ (°)  Rel. int.
22.26  20
29.66  26
30.82  23
31.86  65
32.08  53
32.51  44
33.14  100
39.55  24
39.74  33
61.55  18

Crystal structure
a b c (Å): 9.612 9.612 5.830
angles (deg): 94.83 94.83 69.93
Fractional coordinates of all 18 atoms:
Dy1 0.014 0.730 0.683
Dy2 0.270 0.986 0.817
Dy3 0.730 0.014 0.183
Dy4 0.986 0.270 0.317
Er1 0.102 0.898 0.250
Er2 0.243 0.433 0.384
Er3 0.433 0.243 0.884
Er4 0.567 0.757 0.116
Er5 0.757 0.567 0.616
Er6 0.898 0.102 0.750
Sc1 0.078 0.363 0.845
Sc2 0.319 0.597 0.980
Sc3 0.363 0.078 0.345
Sc4 0.403 0.681 0.520
Sc5 0.597 0.319 0.480
Sc6 0.637 0.922 0.655
Sc7 0.681 0.403 0.020
Sc8 0.922 0.637 0.155

3.
Simulated powder X-ray diffraction pattern
Compound: HoAl7Zn5
Radiation: Cu Ka
Structure: a GGA-PBE-relaxed structure
Intensities are scaled so that the largest is 100.

Principal peaks in the range 10 to 90 degrees two-theta, in order of rising 2θ:
2θ (°)  Rel. int.
13.52  51
19.83  22
27.23  46
27.72  66
34.00  24
38.76  39
39.03  36
39.24  86
40.27  100
44.96  24

Crystal structure
a b c (Å): 7.031 7.031 7.031
angles (deg): 137.32 97.28 97.93
Fractional coordinates of all 13 atoms:
Ho1 0.000 0.000 0.000
Al1 0.220 0.505 0.715
Al2 0.361 0.361 0.000
Al3 0.362 0.008 0.355
Al4 0.650 0.650 0.000
Al5 0.653 0.008 0.645
Al6 0.790 0.505 0.285
Al7 0.791 0.291 0.500
Zn1 0.009 0.006 0.503
Zn2 0.009 0.506 0.003
Zn3 0.219 0.719 0.500
Zn4 0.503 0.006 0.997
Zn5 0.503 0.506 0.497

4.
Simulated powder X-ray diffraction pattern
Compound: NaSr2WN4
Radiation: Cu Ka
Structure: a GGA-PBE-relaxed structure
Intensities are scaled so that the largest is 100.

Principal peaks in the range 10 to 90 degrees two-theta, in order of rising 2θ:
2θ (°)  Rel. int.
17.44  41
18.64  44
25.77  20
27.45  26
30.02  100
30.52  35
31.48  21
47.52  18
53.94  26
54.83  18

Crystal structure
a b c (Å): 8.164 6.499 5.858
angles (deg): 90.00 90.00 90.00
Fractional coordinates of all 16 atoms:
Na1 0.000 0.174 0.000
Na2 0.500 0.826 0.500
Sr1 0.248 0.297 0.496
Sr2 0.252 0.703 0.996
Sr3 0.748 0.703 0.996
Sr4 0.752 0.297 0.496
W1 0.000 0.819 0.515
W2 0.500 0.181 0.015
N1 0.000 0.089 0.397
N2 0.000 0.843 0.832
N3 0.196 0.679 0.434
N4 0.304 0.321 0.934
N5 0.500 0.157 0.332
N6 0.500 0.911 0.897
N7 0.696 0.321 0.934
N8 0.804 0.679 0.434

5.
Simulated powder X-ray diffraction pattern
Compound: MgCo2
Radiation: Cu Ka
Structure: a GGA-PBE-relaxed structure
Intensities are scaled so that the largest is 100.

Principal peaks in the range 10 to 90 degrees two-theta, in order of rising 2θ:
2θ (°)  Rel. int.
21.26  46
22.56  27
24.10  28
40.56  41
44.00  86
44.87  100
46.07  30
49.36  44
75.56  24
79.43  23

Crystal structure
a b c (Å): 4.826 4.826 7.881
angles (deg): 90.00 90.00 120.00
Fractional coordinates of all 12 atoms:
Mg1 0.333 0.667 0.063
Mg2 0.333 0.667 0.437
Mg3 0.667 0.333 0.563
Mg4 0.667 0.333 0.937
Co1 0.000 0.000 0.000
Co2 0.000 0.000 0.500
Co3 0.171 0.341 0.750
Co4 0.171 0.829 0.750
Co5 0.341 0.171 0.250
Co6 0.659 0.829 0.750
Co7 0.829 0.171 0.250
Co8 0.829 0.659 0.250

6.
Simulated powder X-ray diffraction pattern
Compound: Rb2Pd2Cl7
Radiation: Cu Ka
Structure: a GGA-PBE-relaxed structure
Intensities are scaled so that the largest is 100.

Principal peaks in the range 10 to 90 degrees two-theta, in order of rising 2θ:
2θ (°)  Rel. int.
11.43  100
20.70  65
21.75  38
24.71  78
25.31  100
34.77  69
35.33  76
35.98  85
43.12  33
46.35  34

Crystal structure
a b c (Å): 8.741 8.741 5.058
angles (deg): 98.24 98.24 124.63
Fractional coordinates of all 11 atoms:
Rb1 0.168 0.832 0.000
Rb2 0.832 0.168 0.000
Pd1 0.319 0.319 0.663
Pd2 0.681 0.681 0.337
Cl1 0.000 0.000 0.500
Cl2 0.154 0.457 0.653
Cl3 0.345 0.345 0.174
Cl4 0.457 0.154 0.653
Cl5 0.543 0.846 0.347
Cl6 0.655 0.655 0.826
Cl7 0.846 0.543 0.347

7.
Simulated powder X-ray diffraction pattern
Compound: TbPbSe2
Radiation: Cu Ka
Structure: a GGA-PBE-relaxed structure
Intensities are scaled so that the largest is 100.

Principal peaks in the range 10 to 90 degrees two-theta, in order of rising 2θ:
2θ (°)  Rel. int.
19.45  29
25.43  20
26.05  100
28.44  24
36.56  57
41.74  47
44.43  42
48.92  17
60.92  18
78.44  15

Crystal structure
a b c (Å): 4.078 4.078 27.381
angles (deg): 90.00 90.00 120.00
Fractional coordinates of all 12 atoms:
Tb1 0.000 0.000 0.000
Tb2 0.333 0.667 0.667
Tb3 0.667 0.333 0.333
Pb1 0.000 0.000 0.500
Pb2 0.333 0.667 0.167
Pb3 0.667 0.333 0.833
Se1 0.000 0.000 0.392
Se2 0.000 0.000 0.608
Se3 0.333 0.667 0.059
Se4 0.333 0.667 0.274
Se5 0.667 0.333 0.726
Se6 0.667 0.333 0.941

8.
Simulated powder X-ray diffraction pattern
Compound: Pm10Nd4Dy
Radiation: Cu Ka
Structure: a GGA-PBE-relaxed structure
Intensities are scaled so that the largest is 100.

Principal peaks in the range 10 to 90 degrees two-theta, in order of rising 2θ:
2θ (°)  Rel. int.
19.58  26
22.65  13
32.24  100
38.01  14
46.25  18
50.68  6
52.09  6
57.50  38
67.47  12
76.77  16

Crystal structure
a b c (Å): 9.617 9.617 9.617
angles (deg): 99.60 99.60 131.80
Fractional coordinates of all 15 atoms:
Pm1 0.049 0.347 0.900
Pm2 0.149 0.049 0.702
Pm3 0.250 0.750 0.500
Pm4 0.347 0.447 0.298
Pm5 0.447 0.149 0.100
Pm6 0.553 0.851 0.900
Pm7 0.653 0.553 0.702
Pm8 0.750 0.250 0.500
Pm9 0.851 0.951 0.298
Pm10 0.951 0.653 0.100
Nd1 0.201 0.399 0.601
Nd2 0.399 0.799 0.198
Nd3 0.601 0.201 0.802
Nd4 0.799 0.601 0.399
Dy1 0.000 0.000 0.000